Entry 1:
Diffraction record for Pr3Nd2Si4. The PXRD pattern is simulated, not measured: it uses a DFT-relaxed cell (PBE, Alexandria) and Cu Kα (λ = 1.5418 Å).
Intensities are scaled so that the largest is 100.

Largest 10 diffraction maxima, by angle, 2θ from 10° to 90°:
d 3.822, intensity 17, (2 0 0); d 3.528, intensity 31, (0 2 1); d 3.442, intensity 36, (0 1 2); d 3.118, intensity 35, (2 0 -2); d 2.904, intensity 63, (1 1 2); d 2.755, intensity 100, (2 2 0); d 2.505, intensity 20, (0 3 1); d 2.487, intensity 21, (1 1 -3); d 1.717, intensity 22, (1 3 3); d 1.711, intensity 18, (3 1 -4)

Structural model:
Lattice parameters (Å, degrees): 7.893 7.955 7.884 90.00 104.43 90.00
Space group P2_1/c (No. 14)
One atom of each set of equivalent atoms:
Pr 0.000 0.000 0.000 x2
Pr 0.262 0.183 0.744 x4
Nd 0.291 0.688 0.895 x4
Si 0.006 0.614 0.114 x4
Si 0.414 0.022 0.106 x4

Entry 2:
Diffraction record for PrNd2Si6. The PXRD pattern is simulated, not measured: it uses a DFT-relaxed cell (PBE, Alexandria) and Cu Kα (λ = 1.5418 Å).
Intensities are scaled so that the largest is 100.

Largest 10 diffraction maxima, by angle, 2θ from 10° to 90°:
d 4.188, intensity 11, (0 0 1); d 3.588, intensity 45, (1 1 0); d 2.724, intensity 100, (1 1 1); d 2.094, intensity 11, (0 0 2); d 2.071, intensity 30, (3 0 0); d 1.808, intensity 13, (1 1 2); d 1.649, intensity 22, (2 2 1); d 1.473, intensity 20, (3 0 2); d 1.301, intensity 10, (1 1 3); d 1.290, intensity 19, (4 1 1)

Structural model:
Lattice parameters (Å, degrees): 7.1751 7.1751 4.1878 90.00 90.00 120.00
Space group P6/mmm (No. 191)
One atom of each set of equivalent atoms:
Pr 0.0000 0.0000 0.0000 x1
Nd 0.3333 0.6667 0.0000 x2
Si 0.0000 0.3340 0.5000 x6

Entry 3:
Diffraction record for Pr2Nd3Si4. The PXRD pattern is simulated, not measured: it uses a DFT-relaxed cell (PBE, Alexandria) and Cu Kα (λ = 1.5418 Å).
Intensities are scaled so that the largest is 100.

Largest 10 diffraction maxima, by angle, 2θ from 10° to 90°:
d 3.521, intensity 42, (0 2 1); d 3.119, intensity 30, (2 0 -2); d 2.904, intensity 26, (2 1 -2); d 2.875, intensity 47, (1 1 2); d 2.754, intensity 100, (2 2 0); d 2.745, intensity 39, (1 2 -2); d 2.502, intensity 29, (0 3 1); d 2.474, intensity 27, (1 1 -3); d 1.710, intensity 24, (3 1 -4); d 1.705, intensity 22, (1 3 3)

Structural model:
Lattice parameters (Å, degrees): 7.893 7.953 7.831 90.00 105.03 90.00
Space group P2_1/c (No. 14)
One atom of each set of equivalent atoms:
Pr 0.206 0.185 0.100 x4
Nd 0.240 0.683 0.255 x4
Nd 0.500 0.000 0.500 x2
Si 0.083 0.525 0.891 x4
Si 0.494 0.114 0.884 x4

Entry 4:
Diffraction record for Pr2Nd9Sm3. The PXRD pattern is simulated, not measured: it uses a DFT-relaxed cell (PBE, Alexandria) and Cu Kα (λ = 1.5418 Å).
Intensities are scaled so that the largest is 100.

Largest 10 diffraction maxima, by angle, 2θ from 10° to 90°:
d 3.467, intensity 26, (0 0 4); d 3.027, intensity 40, (2 0 3); d 2.958, intensity 64, (2 1 1); d 2.775, intensity 100, (2 1 2); d 2.621, intensity 23, (1 0 5); d 2.533, intensity 20, (2 1 3); d 1.748, intensity 28, (1 4 0); d 1.734, intensity 18, (1 3 5); d 1.561, intensity 14, (1 4 4); d 1.505, intensity 15, (2 1 8)

Structural model:
Lattice parameters (Å, degrees): 9.2504 9.2504 13.8680 90.00 90.00 120.00
Space group P6_3/m (No. 176)
One atom of each set of equivalent atoms:
Pr 0.3333 0.6667 0.1388 x4
Nd 0.0824 0.4804 0.7500 x6
Nd 0.1281 0.7229 0.5408 x12
Sm 0.0802 0.2491 0.2500 x6

Entry 5:
Diffraction record for Pr2Nd3Sm7. The PXRD pattern is simulated, not measured: it uses a DFT-relaxed cell (PBE, Alexandria) and Cu Kα (λ = 1.5418 Å).
Intensities are scaled so that the largest is 100.

Largest 10 diffraction maxima, by angle, 2θ from 10° to 90°:
d 3.207, intensity 28, (0 0 6); d 2.984, intensity 53, (2 0 0); d 2.973, intensity 36, (2 0 -1); d 2.935, intensity 100, (1 1 2); d 2.905, intensity 29, (0 1 4); d 2.893, intensity 45, (1 0 -6); d 2.764, intensity 44, (1 0 6); d 2.647, intensity 37, (1 1 -4); d 1.732, intensity 31, (3 1 1); d 1.543, intensity 24, (1 2 -6)

Structural model:
Lattice parameters (Å, degrees): 5.977 3.644 19.273 90.00 93.16 90.00
Space group P2/m (No. 10)
One atom of each set of equivalent atoms:
Pr 0.211 0.000 0.294 x2
Nd 0.000 0.000 0.000 x1
Nd 0.278 0.500 0.632 x2
Sm 0.187 0.500 0.143 x2
Sm 0.243 0.000 0.463 x2
Sm 0.311 0.000 0.826 x2
Sm 0.500 0.500 0.000 x1

Entry 6:
Diffraction record for Pr4NdSm5. The PXRD pattern is simulated, not measured: it uses a DFT-relaxed cell (PBE, Alexandria) and Cu Kα (λ = 1.5418 Å).
Intensities are scaled so that the largest is 100.

Largest 10 diffraction maxima, by angle, 2θ from 10° to 90°:
d 3.221, intensity 21, (2 2 1); d 3.088, intensity 100, (3 0 1); d 2.970, intensity 45, (3 1 1); d 2.863, intensity 31, (1 0 2); d 2.557, intensity 31, (3 3 0); d 1.808, intensity 16, (6 0 0); d 1.752, intensity 26, (4 3 2); d 1.599, intensity 13, (4 0 3); d 1.560, intensity 17, (6 3 1); d 1.385, intensity 12, (7 3 1)

Structural model:
Lattice parameters (Å, degrees): 10.847 10.847 5.937 90.00 90.00 90.00
Space group P4/nmm (No. 129, origin choice 2)
One atom of each set of equivalent atoms:
Pr 0.045 0.750 0.134 x8
Nd 0.250 0.250 0.873 x2
Sm 0.087 0.087 0.332 x8
Sm 0.250 0.750 0.500 x2